Starting from a GGA-PBE-relaxed structure, the powder diffraction line list of CsPuZn2Cl8 was calculated for copper Kα.
Kinematic intensities with the Lorentz-polarization factor, no thermal factor.

Top 10 peaks for 10 to 90 degrees two-theta, by angle:
| (hkl) | two_theta | I (rel.) |
| --- | --- | --- |
| 0 1 2 | 16.64 | 15 |
| 1 0 4 | 19.33 | 100 |
| 1 1 0 | 27.28 | 39 |
| 0 1 8 | 27.64 | 31 |
| 2 -1 6 | 32.28 | 30 |
| 0 2 4 | 33.65 | 25 |
| 2 1 4 | 43.85 | 24 |
| 1 1 12 | 44.33 | 34 |
| 3 0 0 | 48.22 | 22 |
| 1 2 8 | 48.44 | 14 |

a = 6.5373 Å, b = 6.5373 Å, c = 31.4218 Å
α = 90.00°, β = 90.00°, γ = 120.00°
Space group R-3 (No. 148, hexagonal axes)
One atom of each set of equivalent atoms:
Cs: 0.0000 0.0000 0.0000 x3
Pu: 0.0000 0.0000 0.5000 x3
Zn: 0.0000 0.0000 0.2460 x6
Cl: 0.0000 0.0000 0.3163 x6
Cl: 0.9998 0.3326 0.2195 x18